# 1
This entry pairs a crystal structure of K4Na3AgBr8 with its simulated XRD peak list. Radiation: CuKα. Structure: a DFT-relaxed cell (GGA-PBE, Alexandria).

Unit cell a=8.937 b=8.937 c=8.969 alpha=119.80 beta=119.80 gamma=59.59
Element x y z (fractional)
K (0.000, 0.000, 0.000)
K (0.000, 0.500, 0.000)
K (0.500, 0.000, 0.000)
K (0.500, 0.500, 0.000)
Na (0.000, 0.000, 0.500)
Na (0.000, 0.500, 0.500)
Na (0.500, 0.000, 0.500)
Ag (0.500, 0.500, 0.500)
Br (0.242, 0.242, 0.724)
Br (0.246, 0.737, 0.719)
Br (0.258, 0.258, 0.276)
Br (0.263, 0.754, 0.281)
Br (0.737, 0.246, 0.719)
Br (0.742, 0.742, 0.724)
Br (0.754, 0.263, 0.281)
Br (0.758, 0.758, 0.276)

Main lines, in order of rising 2θ (10 to 80 degrees two-theta):
d_spacing, I (rel.)
7.337, 10
3.645, 20
3.179, 52
3.155, 100
2.244, 50
2.234, 38
2.220, 19
1.826, 9
1.820, 19
1.578, 10
1.416, 20
1.292, 9

=====

# 2
This entry pairs a crystal structure of RbCd10Ag2 with its simulated XRD peak list. Radiation: CuKα. Structure: a DFT-relaxed cell (GGA-PBE, Alexandria).

Unit cell a=7.903 b=7.903 c=10.008 alpha=90.00 beta=90.00 gamma=98.78
Element x y z (fractional)
Rb (0.122, 0.878, 0.750)
Rb (0.878, 0.122, 0.250)
Cd (0.150, 0.405, 0.750)
Cd (0.158, 0.842, 0.101)
Cd (0.158, 0.842, 0.399)
Cd (0.223, 0.223, 0.000)
Cd (0.223, 0.223, 0.500)
Cd (0.229, 0.476, 0.250)
Cd (0.381, 0.619, 0.541)
Cd (0.381, 0.619, 0.959)
Cd (0.405, 0.150, 0.250)
Cd (0.476, 0.229, 0.750)
Cd (0.524, 0.771, 0.250)
Cd (0.595, 0.850, 0.750)
Cd (0.619, 0.381, 0.041)
Cd (0.619, 0.381, 0.459)
Cd (0.771, 0.524, 0.750)
Cd (0.777, 0.777, 0.000)
Cd (0.777, 0.777, 0.500)
Cd (0.842, 0.158, 0.601)
Cd (0.842, 0.158, 0.899)
Cd (0.850, 0.595, 0.250)
Ag (0.000, 0.500, 0.000)
Ag (0.000, 0.500, 0.500)
Ag (0.500, 0.000, 0.000)
Ag (0.500, 0.000, 0.500)

Main lines, in order of rising 2θ (10 to 80 degrees two-theta):
d_spacing, I (rel.)
2.916, 19
2.753, 45
2.603, 17
2.591, 28
2.572, 70
2.536, 48
2.502, 29
2.301, 100
2.287, 18
2.250, 23
1.489, 15
1.478, 18

=====

# 3
This entry pairs a crystal structure of TbY4ScS8 with its simulated XRD peak list. Radiation: CuKα. Structure: a DFT-relaxed cell (GGA-PBE, Alexandria).

Unit cell a=7.996 b=7.996 c=7.996 alpha=59.98 beta=59.98 gamma=59.98
Element x y z (fractional)
Tb (0.000, 0.000, 0.000)
Y (0.000, 0.000, 0.487)
Y (0.000, 0.487, 0.000)
Y (0.487, 0.000, 0.000)
Y (0.622, 0.622, 0.622)
Sc (0.372, 0.372, 0.372)
S (0.221, 0.755, 0.755)
S (0.245, 0.245, 0.245)
S (0.245, 0.245, 0.753)
S (0.245, 0.753, 0.245)
S (0.753, 0.245, 0.245)
S (0.755, 0.221, 0.755)
S (0.755, 0.755, 0.221)
S (0.755, 0.755, 0.755)

Main lines, in order of rising 2θ (10 to 80 degrees two-theta):
d_spacing, I (rel.)
6.526, 33
3.996, 18
3.409, 100
2.826, 48
2.176, 43
1.999, 73
1.724, 13
1.632, 11
1.472, 22
1.413, 11
1.305, 13
1.264, 14

=====

# 4
This entry pairs a crystal structure of FePb2Au2 with its simulated XRD peak list. Radiation: CuKα. Structure: a DFT-relaxed cell (GGA-PBE, Alexandria).

Unit cell a=7.003 b=7.003 c=4.726 alpha=90.00 beta=90.00 gamma=90.00
Element x y z (fractional)
Fe (0.000, 0.000, 0.000)
Fe (0.500, 0.500, 0.000)
Pb (0.175, 0.325, 0.500)
Pb (0.325, 0.825, 0.500)
Pb (0.675, 0.175, 0.500)
Pb (0.825, 0.675, 0.500)
Au (0.146, 0.646, 0.000)
Au (0.354, 0.146, 0.000)
Au (0.646, 0.854, 0.000)
Au (0.854, 0.354, 0.000)

Main lines, in order of rising 2θ (10 to 80 degrees two-theta):
d_spacing, I (rel.)
4.952, 9
3.501, 12
2.813, 7
2.611, 100
2.363, 20
2.215, 19
1.651, 8
1.616, 14
1.598, 17
1.407, 19
1.353, 9
1.254, 11

=====

# 5
This entry pairs a crystal structure of Cs3Fe2Cl8 with its simulated XRD peak list. Radiation: CuKα. Structure: a DFT-relaxed cell (GGA-PBE, Alexandria).

Unit cell a=10.477 b=10.477 c=10.477 alpha=41.52 beta=41.52 gamma=41.52
Element x y z (fractional)
Cs (0.000, 0.000, 0.000)
Cs (0.209, 0.209, 0.209)
Cs (0.791, 0.791, 0.791)
Fe (0.409, 0.409, 0.409)
Fe (0.591, 0.591, 0.591)
Cl (0.234, 0.729, 0.729)
Cl (0.271, 0.271, 0.766)
Cl (0.271, 0.766, 0.271)
Cl (0.331, 0.331, 0.331)
Cl (0.669, 0.669, 0.669)
Cl (0.729, 0.234, 0.729)
Cl (0.729, 0.729, 0.234)
Cl (0.766, 0.271, 0.271)

Main lines, in order of rising 2θ (10 to 80 degrees two-theta):
d_spacing, I (rel.)
4.281, 93
3.714, 100
3.187, 27
3.137, 25
2.934, 33
2.805, 61
2.619, 31
2.418, 19
2.238, 32
2.143, 32
1.856, 55
1.700, 21

=====

# 6
This entry pairs a crystal structure of Cs2PuVBr6 with its simulated XRD peak list. Radiation: CuKα. Structure: a DFT-relaxed cell (GGA-PBE, Alexandria).

Unit cell a=7.959 b=11.262 c=7.969 alpha=90.00 beta=90.00 gamma=90.00
Element x y z (fractional)
Cs (0.250, 0.000, 0.250)
Cs (0.250, 0.500, 0.250)
Cs (0.750, 0.000, 0.750)
Cs (0.750, 0.500, 0.750)
Pu (0.250, 0.250, 0.750)
Pu (0.750, 0.750, 0.250)
V (0.250, 0.750, 0.750)
V (0.750, 0.250, 0.250)
Br (0.011, 0.750, 0.511)
Br (0.011, 0.750, 0.988)
Br (0.250, 0.511, 0.750)
Br (0.250, 0.989, 0.750)
Br (0.489, 0.750, 0.511)
Br (0.489, 0.750, 0.988)
Br (0.511, 0.250, 0.012)
Br (0.511, 0.250, 0.489)
Br (0.750, 0.011, 0.250)
Br (0.750, 0.489, 0.250)
Br (0.989, 0.250, 0.012)
Br (0.989, 0.250, 0.489)

Main lines, in order of rising 2θ (10 to 80 degrees two-theta):
d_spacing, I (rel.)
6.502, 18
5.631, 19
3.982, 66
3.396, 23
3.251, 40
2.816, 100
2.584, 17
2.299, 30
1.991, 72
1.626, 25
1.505, 17
1.259, 31